Diffraction record for Rb2CeI3Cl3. The PXRD pattern is computed, not measured: it uses a crystal structure in Alexandria, relaxed with PBE and Cu Kα (weighted mean of Kα1 and Kα2).

Atomic structure:
```
9
Lattice="9.3598 0.0000 0.0000 -4.6799 8.1058 0.0000 0.0000 0.0000 4.2679" Properties=species:S:1:pos:R:3 pbc="T T T"
Rb 0.0000 5.4039 0.0000
Rb 4.6799 2.7019 0.0000
Ce 0.0000 0.0000 2.1339
I -2.9804 5.1622 2.1339
I 1.6995 2.9436 2.1339
I 5.9608 0.0000 2.1339
Cl -0.9565 1.6568 0.0000
Cl 1.9131 0.0000 0.0000
Cl 3.7234 6.4491 0.0000
```

Principal peaks in the range 10° ≤ 2θ ≤ 90°, by angle:
hkl 1 1 0, 2θ 18.96, I 63; hkl 1 1 1, 2θ 28.30, I 100; hkl 2 0 1, 2θ 30.42, I 54; hkl 3 0 0, 2θ 33.16, I 75; hkl 2 1 1, 2θ 36.09, I 46; hkl 3 0 1, 2θ 39.47, I 24; hkl 3 2 1, 2θ 53.77, I 28; hkl 3 0 2, 2θ 54.82, I 35